[1]
Simulated PXRD pattern of Dy2Hf2O5 for Cu Kα (λ = 1.5418 Å), from a crystal structure in OQMD, relaxed with GGA-PBE.

Main lines, low angle first (10° ≤ 2θ ≤ 90°):
2θ (°)	I/Imax	hkl
31.05	56	1 1 0
32.81	100	1 0 2
44.48	31	2 0 0
49.57	8	0 0 4
56.36	44	2 1 2
59.65	13	1 1 4
64.73	10	2 2 0
68.78	12	2 0 4
73.52	10	3 1 0
74.49	10	3 0 2

Structure:
Cell lengths 4.0734, 4.0734, 7.3555 Å; angles 90.00, 90.00, 90.00 degrees
Space group P4/mmm (No. 123)
One atom of each set of equivalent atoms:
1 Dy 0.0000 0.0000 0.0000 [1 per cell]
2 Dy 0.0000 0.0000 0.5000 [1 per cell]
3 Hf 0.5000 0.5000 0.2182 [2 per cell]
4 O 0.0000 0.5000 0.2599 [4 per cell]
5 O 0.5000 0.5000 0.5000 [1 per cell]

[2]
Simulated PXRD pattern of TbPPtO for Cu Kα (λ = 1.5418 Å), from a crystal structure in OQMD, relaxed with GGA-PBE.

Main lines, low angle first (10° ≤ 2θ ≤ 90°):
2θ (°)	I/Imax	hkl
11.43	29	0 0 1
22.97	29	0 0 2
24.54	24	1 0 1
31.77	54	1 0 2
32.95	100	1 1 1
34.75	23	0 0 3
38.77	52	1 1 2
44.12	50	2 0 0
57.19	43	1 1 4
57.35	23	2 0 3

Structure:
Cell lengths 4.1049, 4.1049, 7.7449 Å; angles 90.00, 90.00, 90.00 degrees
Space group P4/nmm (No. 129, origin choice 2)
One atom of each set of equivalent atoms:
1 Tb 0.2500 0.2500 0.1325 [2 per cell]
2 P 0.2500 0.2500 0.6629 [2 per cell]
3 Pt 0.2500 0.7500 0.5000 [2 per cell]
4 O 0.2500 0.7500 0.0000 [2 per cell]

[3]
Simulated PXRD pattern of Er4TmSe5 for Cu Kα (λ = 1.5418 Å), from a crystal structure in OQMD, relaxed with GGA-PBE.

Main lines, low angle first (10° ≤ 2θ ≤ 90°):
2θ (°)	I/Imax	hkl
27.09	18	0 1 5
31.46	100	1 0 10
44.90	37	1 1 0
45.27	37	0 1 20
55.85	20	0 2 10
65.67	12	2 0 20
74.36	17	2 1 10
74.89	16	1 1 30
82.83	6	3 0 0
83.09	13	1 2 20

Structure:
Cell lengths 4.0371, 4.0371, 48.8835 Å; angles 90.00, 90.00, 120.00 degrees
Space group R-3m (No. 166, hexagonal axes)
One atom of each set of equivalent atoms:
1 Er 0.0000 0.0000 0.1002 [6 per cell]
2 Er 0.0000 0.0000 0.2999 [6 per cell]
3 Tm 0.0000 0.0000 0.5000 [3 per cell]
4 Se 0.0000 0.0000 0.0000 [3 per cell]
5 Se 0.0000 0.0000 0.1996 [6 per cell]
6 Se 0.0000 0.0000 0.4002 [6 per cell]

[4]
Simulated PXRD pattern of Ge3Pd4Pb for Cu Kα (λ = 1.5418 Å), from a crystal structure in OQMD, relaxed with GGA-PBE.

Main lines, low angle first (10° ≤ 2θ ≤ 90°):
2θ (°)	I/Imax	hkl
27.83	20	0 1 1
31.40	47	1 0 -2
31.59	86	1 1 1
38.48	19	2 1 0
39.98	69	1 1 2
40.90	34	2 0 2
41.03	100	2 1 -1
47.22	26	3 0 -1
48.99	33	0 1 3
49.36	35	0 2 0

Structure:
Cell lengths 6.0481, 3.6928, 6.4568 Å; angles 90.00, 90.08, 90.00 degrees
Space group Pm (No. 6)
One atom of each set of equivalent atoms:
1 Ge 0.0000 0.0000 0.0000 [1 per cell]
2 Ge 0.1161 0.5000 0.4824 [1 per cell]
3 Ge 0.6200 0.5000 0.1599 [1 per cell]
4 Pd 0.2907 0.5000 0.9200 [1 per cell]
5 Pd 0.3115 0.0000 0.2669 [1 per cell]
6 Pd 0.8273 0.0000 0.3681 [1 per cell]
7 Pd 0.8406 0.5000 0.7735 [1 per cell]
8 Pb 0.5014 0.0000 0.6699 [1 per cell]

[5]
Simulated PXRD pattern of Tm2Lu2In5Fe2 for Cu Kα (λ = 1.5418 Å), from a crystal structure in OQMD, relaxed with GGA-PBE.

Main lines, low angle first (10° ≤ 2θ ≤ 90°):
2θ (°)	I/Imax	hkl
27.77	13	1 1 0
32.24	35	1 0 3
33.26	55	1 1 -2
34.57	100	1 1 2
35.27	34	3 0 0
35.54	26	2 0 -3
36.55	29	2 1 1
38.63	59	2 1 -2
51.62	23	0 2 0
64.26	12	2 2 -3

Structure:
Cell lengths 7.6689, 3.5414, 9.3284 Å; angles 90.00, 95.54, 90.00 degrees
Space group P2/m (No. 10)
One atom of each set of equivalent atoms:
1 Tm 0.1794 0.0000 0.3393 [2 per cell]
2 Lu 0.2183 0.0000 0.9353 [2 per cell]
3 In 0.1611 0.5000 0.6451 [2 per cell]
4 In 0.4487 0.5000 0.1692 [2 per cell]
5 In 0.5000 0.5000 0.5000 [1 per cell]
6 Fe 0.0638 0.5000 0.1165 [2 per cell]

[6]
Simulated PXRD pattern of CsK2As2Pd3 for Cu Kα (λ = 1.5418 Å), from a crystal structure in OQMD, relaxed with GGA-PBE.

Main lines, low angle first (10° ≤ 2θ ≤ 90°):
2θ (°)	I/Imax	hkl
12.32	69	0 0 3
17.90	62	1 0 1
27.10	81	0 1 5
30.40	41	1 1 0
32.92	56	1 1 3
34.03	43	1 0 7
36.25	44	2 0 2
39.13	100	0 2 4
49.24	52	2 0 8
63.26	34	2 2 0

Structure:
Cell lengths 5.8803, 5.8803, 21.5494 Å; angles 90.00, 90.00, 120.00 degrees
Space group R-3m (No. 166, hexagonal axes)
One atom of each set of equivalent atoms:
1 Cs 0.0000 0.0000 0.0000 [3 per cell]
2 K 0.0000 0.0000 0.4163 [6 per cell]
3 As 0.0000 0.0000 0.2498 [6 per cell]
4 Pd 0.0000 0.5000 0.5000 [9 per cell]

[7]
Simulated PXRD pattern of Hf4TlFeC2 for Cu Kα (λ = 1.5418 Å), from a crystal structure in OQMD, relaxed with GGA-PBE.

Main lines, low angle first (10° ≤ 2θ ≤ 90°):
2θ (°)	I/Imax	hkl
31.49	28	1 0 0
31.66	12	0 0 5
34.01	14	1 0 2
36.95	100	1 0 3
38.22	13	0 0 6
50.33	10	1 0 6
56.06	24	1 1 0
61.86	16	1 0 8
69.06	16	2 0 3
69.88	13	1 1 6

Structure:
Cell lengths 3.2808, 3.2808, 14.1288 Å; angles 90.00, 90.00, 120.00 degrees
Space group P-6m2 (No. 187)
One atom of each set of equivalent atoms:
1 Hf 0.0000 0.0000 0.1379 [2 per cell]
2 Hf 0.3333 0.6667 0.3205 [2 per cell]
3 Tl 0.0000 0.0000 0.5000 [1 per cell]
4 Fe 0.3333 0.6667 0.0000 [1 per cell]
5 C 0.6667 0.3333 0.2377 [2 per cell]

[8]
Simulated PXRD pattern of FeHgI4 for Cu Kα (λ = 1.5418 Å), from a crystal structure in OQMD, relaxed with GGA-PBE.

Main lines, low angle first (10° ≤ 2θ ≤ 90°):
2θ (°)	I/Imax	hkl
13.42	23	0 0 2
21.37	35	1 0 1
24.39	100	1 0 2
28.78	26	1 0 3
31.92	13	1 1 2
39.92	64	1 1 4
41.22	27	2 0 0
46.18	14	1 0 6
48.47	31	2 1 2
74.25	19	3 1 4

Structure:
Cell lengths 4.3805, 4.3805, 13.1975 Å; angles 90.00, 90.00, 90.00 degrees
Space group P-4m2 (No. 115)
One atom of each set of equivalent atoms:
1 Fe 0.0000 0.0000 0.0000 [1 per cell]
2 Hg 0.5000 0.5000 0.5000 [1 per cell]
3 I 0.0000 0.5000 0.1130 [2 per cell]
4 I 0.0000 0.5000 0.6391 [2 per cell]

[9]
Simulated PXRD pattern of CdPtSeO for Cu Kα (λ = 1.5418 Å), from a crystal structure in OQMD, relaxed with GGA-PBE.

Main lines, low angle first (10° ≤ 2θ ≤ 90°):
2θ (°)	I/Imax	hkl
23.17	100	1 1 1
26.98	57	2 0 0
27.43	54	1 2 0
29.36	81	0 0 2
30.79	39	2 0 1
31.19	91	1 2 1
38.16	39	0 2 2
41.50	83	1 3 1
48.51	46	1 1 3
53.18	58	1 4 1

Structure:
Cell lengths 6.6085, 7.4706, 6.0835 Å; angles 90.00, 90.00, 90.00 degrees
Space group Pca2_1 (No. 29)
One atom of each set of equivalent atoms:
1 Cd 0.0854 0.1253 0.0000 [4 per cell]
2 Pt 0.0423 0.7070 0.9210 [4 per cell]
3 Se 0.1443 0.5735 0.5771 [4 per cell]
4 O 0.0964 0.1087 0.6338 [4 per cell]

[10]
Simulated PXRD pattern of BeCoGe2 for Cu Kα (λ = 1.5418 Å), from a crystal structure in OQMD, relaxed with GGA-PBE.

Main lines, low angle first (10° ≤ 2θ ≤ 90°):
2θ (°)	I/Imax	hkl
25.83	27	1 1 1
29.91	9	2 0 0
42.82	100	2 2 0
50.68	13	3 1 1
53.11	2	2 2 2
62.16	16	4 0 0
68.46	5	3 3 1
70.50	3	4 2 0
78.43	32	4 2 2
84.22	4	5 1 1

Structure:
Cell lengths 5.9738, 5.9738, 5.9738 Å; angles 90.00, 90.00, 90.00 degrees
Space group F-43m (No. 216)
One atom of each set of equivalent atoms:
1 Be 0.0000 0.0000 0.0000 [4 per cell]
2 Co 0.2500 0.2500 0.2500 [4 per cell]
3 Ge 0.0000 0.0000 0.5000 [4 per cell]
4 Ge 0.2500 0.2500 0.7500 [4 per cell]

[11]
Simulated PXRD pattern of GdMgCdPt for Cu Kα (λ = 1.5418 Å), from a crystal structure in OQMD, relaxed with GGA-PBE.

Main lines, low angle first (10° ≤ 2θ ≤ 90°):
2θ (°)	I/Imax	hkl
13.16	48	0 0 1
19.85	21	1 1 0
23.89	28	1 1 1
32.20	61	0 4 0
33.13	24	1 3 1
33.32	100	1 1 2
36.79	49	2 0 0
40.65	92	1 3 2
49.68	36	2 4 0
68.03	22	1 7 2

Structure:
Cell lengths 4.8863, 11.1187, 6.7286 Å; angles 90.00, 90.00, 90.00 degrees
Space group Cmm2 (No. 35)
One atom of each set of equivalent atoms:
1 Gd 0.0000 0.1482 0.0000 [4 per cell]
2 Mg 0.0000 0.1504 0.4541 [4 per cell]
3 Cd 0.0000 0.3738 0.6875 [4 per cell]
4 Pt 0.0000 0.3698 0.2304 [4 per cell]

[12]
Simulated PXRD pattern of RbHoMgSe3 for Cu Kα (λ = 1.5418 Å), from a crystal structure in OQMD, relaxed with GGA-PBE.

Main lines, low angle first (10° ≤ 2θ ≤ 90°):
2θ (°)	I/Imax	hkl
11.19	75	1 0 -1
27.72	33	0 0 3
28.64	100	2 1 -1
29.34	36	2 1 0
31.91	16	1 1 2
32.69	24	1 0 3
33.72	15	1 1 -3
42.06	31	2 1 -4
42.57	25	0 2 0
46.63	26	3 1 2

Structure:
Cell lengths 9.2520, 4.2476, 10.2336 Å; angles 90.00, 109.35, 90.00 degrees
Space group P2_1/m (No. 11)
One atom of each set of equivalent atoms:
1 Rb 0.2162 0.2500 0.2371 [2 per cell]
2 Ho 0.3313 0.7500 0.8683 [2 per cell]
3 Mg 0.0856 0.2500 0.6112 [2 per cell]
4 Se 0.1178 0.2500 0.8653 [2 per cell]
5 Se 0.2054 0.7500 0.5463 [2 per cell]
6 Se 0.4712 0.7500 0.1556 [2 per cell]